Record 1
Diffraction record for Cs3Tm2Br9. The PXRD pattern is theoretical, not measured: it uses a GGA-PBE-relaxed structure and Cu Ka.

The 10 most intense peaks (5 to 70 degrees two-theta), in order of rising 2θ:
12.82°, I = 26, (1 1 0); 19.10°, I = 13, (1 0 4); 22.31°, I = 24, (3 0 0); 26.50°, I = 19, (0 0 6); 29.08°, I = 100, (2 2 3); 29.55°, I = 14, (1 1 6); 37.34°, I = 42, (2 2 6); 45.52°, I = 32, (6 0 0); 48.42°, I = 22, (2 2 9); 54.93°, I = 16, (4 4 3)

Structural model:
```
data_Cs3Tm2Br9
_cell_length_a 13.8055
_cell_length_b 13.8055
_cell_length_c 20.1739
_cell_angle_alpha 90.00
_cell_angle_beta 90.00
_cell_angle_gamma 120.00
_space_group_name_H-M_alt 'R -3 c'
_space_group_IT_number 167
_space_group_name_Hall '-R 3 2"c'
loop_
_atom_site_label
_atom_site_fract_x
_atom_site_fract_y
_atom_site_fract_z
Cs1 0.0000 0.3394 0.2500
Tm1 0.0000 0.0000 0.1544
Br1 0.0000 0.1549 0.7500
Br2 0.0054 0.1743 0.4083
```

***

Record 2
Diffraction record for Cs2UBr7. The PXRD pattern is theoretical, not measured: it uses a GGA-PBE-relaxed structure and Cu Ka.

The 10 most intense peaks (5 to 70 degrees two-theta), in order of rising 2θ:
11.94°, I = 100, (1 1 -1); 12.19°, I = 90, (2 0 0); 17.06°, I = 71, (1 1 1); 18.22°, I = 50, (4 0 -2); 21.84°, I = 47, (2 2 -1); 27.03°, I = 59, (4 2 -2); 27.94°, I = 61, (2 2 1); 29.65°, I = 85, (2 0 -4); 33.48°, I = 49, (1 3 -2); 35.29°, I = 45, (7 1 -2)

Structural model:
```
data_Cs2UBr7
_cell_length_a 19.567
_cell_length_b 8.961
_cell_length_c 13.206
_cell_angle_alpha 90.00
_cell_angle_beta 132.06
_cell_angle_gamma 90.00
_space_group_name_H-M_alt 'C 1 2/c 1'
_space_group_IT_number 15
_space_group_name_Hall '-C 2yc'
loop_
_atom_site_label
_atom_site_fract_x
_atom_site_fract_y
_atom_site_fract_z
Cs1 0.139 0.154 0.052
U1 0.000 0.293 0.250
Br1 0.000 0.395 0.750
Br2 0.085 0.022 0.248
Br3 0.093 0.296 0.519
Br4 0.164 0.376 0.318
```

***

Record 3
Diffraction record for Cs5VBr8. The PXRD pattern is theoretical, not measured: it uses a GGA-PBE-relaxed structure and Cu Ka.

The 10 most intense peaks (5 to 70 degrees two-theta), in order of rising 2θ:
19.95°, I = 100, (2 1 1); 22.12°, I = 60, (1 0 3); 26.16°, I = 39, (3 0 1); 26.62°, I = 95, (1 3 0); 27.87°, I = 32, (1 2 3); 29.97°, I = 33, (1 1 4); 31.22°, I = 45, (3 2 1); 32.69°, I = 43, (3 0 3); 36.95°, I = 44, (3 2 3); 38.56°, I = 47, (1 3 4)

Structural model:
```
data_Cs5VBr8
_cell_length_a 10.588
_cell_length_b 10.588
_cell_length_c 13.030
_cell_angle_alpha 90.00
_cell_angle_beta 90.00
_cell_angle_gamma 90.00
_space_group_name_H-M_alt 'I -4'
_space_group_IT_number 82
_space_group_name_Hall 'I -4'
loop_
_atom_site_label
_atom_site_fract_x
_atom_site_fract_y
_atom_site_fract_z
Cs1 0.000 0.000 0.000
Cs2 0.127 0.294 0.613
V1 0.000 0.500 0.250
Br1 0.010 0.306 0.343
Br2 0.116 0.288 0.891
```

***

Record 4
Diffraction record for Cs2V3Br9. The PXRD pattern is theoretical, not measured: it uses a GGA-PBE-relaxed structure and Cu Ka.

The 10 most intense peaks (5 to 70 degrees two-theta), in order of rising 2θ:
17.72°, I = 30, (2 2 -1); 18.52°, I = 52, (0 0 2); 21.76°, I = 34, (1 3 -2); 26.54°, I = 63, (2 4 -2); 27.95°, I = 100, (0 0 3); 29.87°, I = 90, (2 4 1); 30.72°, I = 36, (4 0 -1); 31.18°, I = 29, (3 3 -3); 33.94°, I = 49, (1 5 2); 37.04°, I = 68, (4 0 -4)

Structural model:
```
data_Cs2V3Br9
_cell_length_a 11.920
_cell_length_b 18.614
_cell_length_c 10.850
_cell_angle_alpha 90.00
_cell_angle_beta 117.98
_cell_angle_gamma 90.00
_space_group_name_H-M_alt 'C 1 2/m 1'
_space_group_IT_number 12
_space_group_name_Hall '-C 2y'
loop_
_atom_site_label
_atom_site_fract_x
_atom_site_fract_y
_atom_site_fract_z
Cs1 0.091 0.159 0.298
V1 0.125 0.500 0.844
V2 0.159 0.397 0.170
Br1 0.000 0.305 0.000
Br2 0.031 0.403 0.301
Br3 0.193 0.198 0.670
Br4 0.198 0.000 0.684
Br5 0.233 0.098 0.987
Br6 0.242 0.500 0.704
```